1.
Structure and computed powder diffraction line list of La4Pm3Pr4 (a crystal structure in Alexandria, relaxed with PBE; Cu Kα X-rays).
Lines closer than 0.1° are merged.

Structural model:
```
data_La4Pm3Pr4
_cell_length_a 3.6781
_cell_length_b 9.7355
_cell_length_c 22.7113
_cell_angle_alpha 90.00
_cell_angle_beta 90.00
_cell_angle_gamma 90.00
_symmetry_space_group_name_H-M 'I m m m'
_symmetry_Int_Tables_number 71
_symmetry_space_group_name_Hall '-I 2 2'
loop_
_atom_site_label
_atom_site_type_symbol
_atom_site_fract_x
_atom_site_fract_y
_atom_site_fract_z
La1 La 0.0000 0.1698 0.1448
Pm1 Pm 0.0000 0.0000 0.3946
Pm2 Pm 0.0000 0.5000 0.5000
Pr1 Pr 0.0000 0.3112 0.0000
Pr2 Pr 0.0000 0.5000 0.2360
```

Largest 12 diffraction maxima, sorted by position, 10° ≤ 2θ ≤ 90°:
two_theta, I/Imax, hkl
29.94, 86, 0 3 3
30.38, 100, 1 1 4
30.72, 52, 1 2 1
31.51, 27, 0 0 8
33.95, 16, 0 3 5
36.94, 17, 1 0 7
37.81, 19, 1 3 2
41.49, 26, 1 2 7
49.57, 15, 2 0 0
55.34, 27, 1 3 10
55.82, 27, 1 5 4
59.00, 25, 2 3 3

---

2.
Structure and computed powder diffraction line list of Nd3Al8Zn3 (a crystal structure in Alexandria, relaxed with PBE; Cu Kα X-rays).
Lines closer than 0.1° are merged.

Structural model:
```
data_Nd3Al8Zn3
_cell_length_a 4.3556
_cell_length_b 10.1773
_cell_length_c 12.6513
_cell_angle_alpha 90.00
_cell_angle_beta 90.00
_cell_angle_gamma 90.00
_symmetry_space_group_name_H-M 'I m m m'
_symmetry_Int_Tables_number 71
_symmetry_space_group_name_Hall '-I 2 2'
loop_
_atom_site_label
_atom_site_type_symbol
_atom_site_fract_x
_atom_site_fract_y
_atom_site_fract_z
Nd1 Nd 0.0000 0.0000 0.0000
Nd2 Nd 0.0000 0.0000 0.3172
Al1 Al 0.0000 0.2779 0.1311
Al2 Al 0.0000 0.3696 0.3361
Zn1 Zn 0.0000 0.2175 0.5000
Zn2 Zn 0.0000 0.5000 0.0000
```

Largest 12 diffraction maxima, sorted by position, 10° ≤ 2θ ≤ 90°:
two_theta, I/Imax, hkl
17.43, 18, 0 2 0
22.20, 27, 1 1 0
22.83, 20, 0 1 3
29.48, 22, 1 0 3
33.48, 19, 1 3 0
33.91, 24, 0 3 3
34.45, 100, 1 2 3
35.28, 16, 0 4 0
41.46, 23, 2 0 0
42.89, 15, 0 0 6
54.60, 12, 2 3 3
62.78, 13, 1 6 3

---

3.
Structure and computed powder diffraction line list of SrTmPa2O8 (a crystal structure in Alexandria, relaxed with PBE; Cu Kα X-rays).
Lines closer than 0.1° are merged.

Structural model:
```
data_SrTmPa2O8
_cell_length_a 5.4778
_cell_length_b 5.4778
_cell_length_c 10.8269
_cell_angle_alpha 90.00
_cell_angle_beta 90.00
_cell_angle_gamma 90.00
_symmetry_space_group_name_H-M 'I -4 m 2'
_symmetry_Int_Tables_number 119
_symmetry_space_group_name_Hall 'I -4 -2'
loop_
_atom_site_label
_atom_site_type_symbol
_atom_site_fract_x
_atom_site_fract_y
_atom_site_fract_z
Sr1 Sr 0.0000 0.0000 0.0000
Tm1 Tm 0.0000 0.5000 0.7500
Pa1 Pa 0.0000 0.0000 0.5000
Pa2 Pa 0.0000 0.5000 0.2500
O1 O 0.2314 0.2396 0.3703
```

Largest 12 diffraction maxima, sorted by position, 10° ≤ 2θ ≤ 90°:
two_theta, I/Imax, hkl
18.15, 14, 1 0 1
28.33, 100, 1 1 2
32.70, 23, 2 0 0
33.10, 11, 0 0 4
46.91, 17, 2 2 0
47.21, 34, 2 0 4
55.71, 31, 3 1 2
56.24, 15, 1 1 6
58.61, 10, 2 2 4
75.73, 6, 3 3 2
76.18, 13, 3 1 6
87.39, 11, 4 2 4

---

4.
Structure and computed powder diffraction line list of Pm3Nd2 (a crystal structure in Alexandria, relaxed with PBE; Cu Kα X-rays).
Lines closer than 0.1° are merged.

Structural model:
```
data_Pm3Nd2
_cell_length_a 3.6631
_cell_length_b 3.6631
_cell_length_c 44.7964
_cell_angle_alpha 90.00
_cell_angle_beta 90.00
_cell_angle_gamma 120.00
_symmetry_space_group_name_H-M 'R -3 m'
_symmetry_Int_Tables_number 166
_symmetry_space_group_name_Hall '-R 3 2"'
loop_
_atom_site_label
_atom_site_type_symbol
_atom_site_fract_x
_atom_site_fract_y
_atom_site_fract_z
Pm1 Pm 0.0000 0.0000 0.0000
Pm2 Pm 0.0000 0.0000 0.3997
Nd1 Nd 0.0000 0.0000 0.2003
```

Largest 9 diffraction maxima, sorted by position, 10° ≤ 2θ ≤ 90°:
two_theta, I/Imax, hkl
29.89, 100, 0 1 5
34.65, 51, 1 0 10
49.81, 36, 1 1 0
59.18, 43, 2 0 5
62.10, 12, 0 2 10
73.10, 6, 2 0 20
80.90, 13, 1 2 5
81.01, 4, 0 1 35
83.49, 16, 2 1 10

---

5.
Structure and computed powder diffraction line list of PmHoTm (a crystal structure in Alexandria, relaxed with PBE; Cu Kα X-rays).
Lines closer than 0.1° are merged.

Structural model:
```
data_PmHoTm
_cell_length_a 6.1420
_cell_length_b 6.1482
_cell_length_c 6.1484
_cell_angle_alpha 80.56
_cell_angle_beta 70.71
_cell_angle_gamma 60.04
_symmetry_space_group_name_H-M 'P -1'
_symmetry_Int_Tables_number 2
loop_
_symmetry_equiv_pos_as_xyz
'x,y,z'
'-x,-y,-z'
loop_
_atom_site_label
_atom_site_type_symbol
_atom_site_fract_x
_atom_site_fract_y
_atom_site_fract_z
Pm1 Pm 0.2496 0.0006 0.2497
Ho1 Ho 0.4175 0.6648 0.7499
Tm1 Tm 0.0822 0.3357 0.7499
```

Largest 12 diffraction maxima, sorted by position, 10° ≤ 2θ ≤ 90°:
two_theta, I/Imax, hkl
30.85, 100, 2 1 0
35.74, 34, 1 2 -1
35.83, 17, 2 1 2
51.44, 18, 0 3 0
51.52, 18, 3 3 1
61.17, 21, 2 4 0
61.26, 14, 3 0 3
61.34, 7, 4 2 2
64.25, 9, 4 2 0
83.91, 4, 4 2 -2
84.04, 9, 5 4 1
86.72, 7, 4 5 0

---

6.
Structure and computed powder diffraction line list of Tm4Mg3Al (a crystal structure in Alexandria, relaxed with PBE; Cu Kα X-rays).
Lines closer than 0.1° are merged.

Structural model:
```
data_Tm4Mg3Al
_cell_length_a 3.3780
_cell_length_b 4.9513
_cell_length_c 12.3555
_cell_angle_alpha 90.00
_cell_angle_beta 90.00
_cell_angle_gamma 90.00
_symmetry_space_group_name_H-M 'P m m 2'
_symmetry_Int_Tables_number 25
loop_
_symmetry_equiv_pos_as_xyz
'x,y,z'
'-x,-y,z'
'-x,y,z'
'x,-y,z'
loop_
_atom_site_label
_atom_site_type_symbol
_atom_site_fract_x
_atom_site_fract_y
_atom_site_fract_z
Tm1 Tm 0.0000 0.0000 0.0000
Tm2 Tm 0.0000 0.5000 0.3310
Tm3 Tm 0.5000 0.0000 0.4841
Tm4 Tm 0.5000 0.5000 0.8413
Mg1 Mg 0.0000 0.0000 0.7300
Mg2 Mg 0.0000 0.5000 0.5969
Mg3 Mg 0.5000 0.5000 0.1031
Al1 Al 0.5000 0.0000 0.2320
```

Largest 12 diffraction maxima, sorted by position, 10° ≤ 2θ ≤ 90°:
two_theta, I/Imax, hkl
14.34, 40, 0 0 2
23.02, 70, 0 1 2
32.91, 100, 1 1 1
34.21, 58, 0 1 4
34.33, 54, 1 0 3
36.29, 29, 0 2 0
45.48, 11, 1 0 5
49.26, 14, 1 1 5
50.82, 36, 1 2 3
62.24, 17, 1 1 7
63.13, 20, 1 3 1
65.78, 17, 2 1 4

---

7.
Structure and computed powder diffraction line list of Cs2KSrAu (a crystal structure in Alexandria, relaxed with PBE; Cu Kα X-rays).
Lines closer than 0.1° are merged.

Structural model:
```
data_Cs2KSrAu
_cell_length_a 7.1885
_cell_length_b 7.1885
_cell_length_c 6.3498
_cell_angle_alpha 90.00
_cell_angle_beta 90.00
_cell_angle_gamma 90.00
_symmetry_space_group_name_H-M 'P 4/m m m'
_symmetry_Int_Tables_number 123
_symmetry_space_group_name_Hall '-P 4 2'
loop_
_atom_site_label
_atom_site_type_symbol
_atom_site_fract_x
_atom_site_fract_y
_atom_site_fract_z
Cs1 Cs 0.0000 0.5000 0.0000
K1 K 0.0000 0.0000 0.5000
Sr1 Sr 0.5000 0.5000 0.5000
Au1 Au 0.5000 0.5000 0.0000
```

Largest 12 diffraction maxima, sorted by position, 10° ≤ 2θ ≤ 90°:
two_theta, I/Imax, hkl
12.31, 81, 1 0 0
13.95, 57, 0 0 1
18.65, 25, 1 0 1
22.40, 29, 1 1 1
24.77, 100, 2 0 0
27.75, 26, 2 1 0
28.11, 36, 0 0 2
28.54, 43, 2 0 1
35.32, 40, 2 2 0
37.81, 66, 2 0 2
45.73, 38, 2 2 2
65.04, 26, 4 2 2

---

8.
Structure and computed powder diffraction line list of Li4TlP (a crystal structure in Alexandria, relaxed with PBE; Cu Kα X-rays).
Lines closer than 0.1° are merged.

Structural model:
```
data_Li4TlP
_cell_length_a 7.4879
_cell_length_b 7.4879
_cell_length_c 7.4879
_cell_angle_alpha 90.00
_cell_angle_beta 90.00
_cell_angle_gamma 90.00
_symmetry_space_group_name_H-M 'F -4 3 m'
_symmetry_Int_Tables_number 216
_symmetry_space_group_name_Hall 'F -4 2 3'
loop_
_atom_site_label
_atom_site_type_symbol
_atom_site_fract_x
_atom_site_fract_y
_atom_site_fract_z
Li1 Li 0.1242 0.1242 0.1242
Tl1 Tl 0.0000 0.0000 0.5000
P1 P 0.2500 0.2500 0.7500
```

Largest 12 diffraction maxima, sorted by position, 10° ≤ 2θ ≤ 90°:
two_theta, I/Imax, hkl
20.54, 100, 1 1 1
23.77, 40, 2 0 0
33.86, 62, 2 2 0
39.93, 66, 3 1 1
41.79, 13, 2 2 2
48.64, 9, 4 0 0
53.33, 25, 3 3 1
54.83, 18, 4 2 0
60.58, 23, 4 2 2
64.68, 22, 5 1 1
75.05, 18, 5 3 1
81.26, 10, 6 2 0

---

9.
Structure and computed powder diffraction line list of Li2CdIrF8 (a crystal structure in Alexandria, relaxed with PBE; Cu Kα X-rays).
Lines closer than 0.1° are merged.

Structural model:
```
data_Li2CdIrF8
_cell_length_a 4.7566
_cell_length_b 6.8427
_cell_length_c 4.7716
_cell_angle_alpha 90.00
_cell_angle_beta 91.36
_cell_angle_gamma 90.00
_symmetry_space_group_name_H-M 'P 1 2/m 1'
_symmetry_Int_Tables_number 10
loop_
_symmetry_equiv_pos_as_xyz
'x,y,z'
'-x,-y,-z'
'-x,y,-z'
'x,-y,z'
loop_
_atom_site_label
_atom_site_type_symbol
_atom_site_fract_x
_atom_site_fract_y
_atom_site_fract_z
Li1 Li 0.0000 0.2216 0.0000
Cd1 Cd 0.5000 0.0000 0.5000
Ir1 Ir 0.5000 0.5000 0.5000
F1 F 0.1870 0.0000 0.8139
F2 F 0.2169 0.5000 0.7861
F3 F 0.2984 0.2845 0.3013
```

Largest 12 diffraction maxima, sorted by position, 10° ≤ 2θ ≤ 90°:
two_theta, I/Imax, hkl
12.94, 10, 0 1 0
18.63, 100, 0 0 1
22.75, 11, 1 1 0
26.04, 24, 0 2 0
26.14, 28, 1 0 -1
26.78, 27, 1 0 1
32.21, 43, 1 2 0
37.71, 40, 1 2 1
42.01, 21, 1 0 -2
50.10, 21, 2 2 -1
50.84, 20, 2 2 1
57.22, 10, 1 4 0